1.
Diffraction record for CrSe2. The X-ray powder pattern is theoretical, not measured: it uses a GGA-PBE-relaxed structure and CuKα.

Structural model:
a b c (Å): 5.9732 3.4592 11.7929
angles (deg): 90.00 94.70 90.00
Space group C2/m (No. 12)
Symmetry-distinct sites (fractional):
Cr 0.0000 0.0000 0.0000 x2
Se 0.1868 0.5000 0.1271 x4

The 10 most intense peaks (10 to 90 degrees two-theta), sorted by position:
two_theta, d (Å), I/Imax, h k l
15.08, 5.877, 24, 0 0 2
30.41, 2.940, 24, 0 0 4
30.54, 2.927, 29, 1 1 -1
31.16, 2.870, 43, 1 1 1
32.59, 2.748, 41, 2 0 -2
34.19, 2.622, 100, 1 1 2
36.38, 2.470, 47, 2 0 -3
38.62, 2.331, 68, 1 1 3
48.25, 1.886, 37, 1 1 -5
53.22, 1.721, 53, 3 1 0

=====

2.
Diffraction record for Al5Mo. The X-ray powder pattern is theoretical, not measured: it uses a GGA-PBE-relaxed structure and CuKα.

Structural model:
a b c (Å): 4.9410 4.9410 43.9813
angles (deg): 90.00 90.00 120.00
Space group P321 (No. 150)
Symmetry-distinct sites (fractional):
Al 0.0000 0.0000 0.0484 x2
Al 0.0000 0.0000 0.2501 x2
Al 0.0000 0.0000 0.4515 x2
Al 0.0000 0.3444 0.0000 x3
Al 0.0000 0.6576 0.5000 x3
Al 0.0083 0.6749 0.7000 x6
Al 0.0086 0.3314 0.8001 x6
Al 0.0101 0.3346 0.5999 x6
Al 0.0112 0.6768 0.0998 x6
Al 0.3333 0.6667 0.1518 x2
Al 0.3333 0.6667 0.2502 x2
Al 0.3333 0.6667 0.3499 x2
Al 0.3333 0.6667 0.4482 x2
Al 0.3333 0.6667 0.6501 x2
Al 0.3333 0.6667 0.8515 x2
Al 0.3333 0.6667 0.9484 x2
Mo 0.0000 0.0000 0.1490 x2
Mo 0.0000 0.0000 0.3507 x2
Mo 0.3333 0.6667 0.0498 x2
Mo 0.3333 0.6667 0.5493 x2
Mo 0.3333 0.6667 0.7508 x2

The 10 most intense peaks (10 to 90 degrees two-theta), sorted by position:
two_theta, d (Å), I/Imax, h k l
20.19, 4.398, 15, 0 0 10
22.29, 3.988, 26, 1 0 4
24.08, 3.695, 20, 0 1 6
36.37, 2.471, 26, 1 1 0
37.82, 2.378, 18, 1 1 5
41.04, 2.199, 26, 0 0 20
41.94, 2.154, 100, 1 1 10
65.43, 1.426, 19, 3 0 0
75.39, 1.261, 17, 1 1 30
80.21, 1.197, 21, 3 0 20

=====

3.
Diffraction record for SmI3O10. The X-ray powder pattern is theoretical, not measured: it uses a GGA-PBE-relaxed structure and CuKα.

Structural model:
a b c (Å): 7.4663 6.6860 10.1449
angles (deg): 90.00 110.23 90.00
Space group P2_1 (No. 4)
Symmetry-distinct sites (fractional):
Sm 0.2347 0.0000 0.3112 x2
I 0.1061 0.1281 0.9183 x2
I 0.1680 0.5258 0.5389 x2
I 0.4685 0.4739 0.2758 x2
O 0.0362 0.3939 0.8899 x2
O 0.0451 0.6401 0.6493 x2
O 0.0978 0.7173 0.4006 x2
O 0.2531 0.1576 0.1037 x2
O 0.2767 0.8354 0.9124 x2
O 0.2951 0.3601 0.3487 x2
O 0.2975 0.1402 0.8400 x2
O 0.3449 0.7121 0.2228 x2
O 0.3483 0.0515 0.5606 x2
O 0.4143 0.5976 0.6400 x2

The 10 most intense peaks (10 to 90 degrees two-theta), sorted by position:
two_theta, d (Å), I/Imax, h k l
12.84, 6.894, 37, 1 0 -1
22.52, 3.948, 62, 1 1 1
22.93, 3.878, 50, 0 1 2
26.02, 3.425, 44, 1 0 2
26.53, 3.360, 36, 1 0 -3
26.67, 3.343, 47, 0 2 0
27.37, 3.259, 100, 2 1 -1
29.15, 3.064, 41, 2 1 -2
29.30, 3.048, 33, 1 1 2
29.76, 3.002, 44, 1 1 -3